Starting from a PBE+U-relaxed structure, the XRD peak list of Hg12WF7 was computed for Cu Ka.

The 6 most intense peaks (10° ≤ 2θ ≤ 80°), in order of rising 2θ:
h k l, two_theta, I (rel.)
0 3 0, 26.6, 33.2
1 -2 2, 27.2, 100.0
1 0 2, 30.0, 40.5
-1 2 2, 32.6, 45.4
1 2 -4, 35.1, 61.2
2 0 -2, 41.8, 32.0

Crystal structure
```
data_Hg12WF7
_chemical_formula_sum 'Hg12 W1 F7'
_cell_length_a 4.4667
_cell_length_b 11.6820
_cell_length_c 11.6884
_cell_angle_alpha 118.33
_cell_angle_beta 97.38
_cell_angle_gamma 97.33
_symmetry_space_group_name_H-M 'P -1'
_symmetry_Int_Tables_number 2
loop_
_symmetry_equiv_pos_as_xyz
'x,y,z'
'-x,-y,-z'
loop_
_atom_site_label
_atom_site_fract_x
_atom_site_fract_y
_atom_site_fract_z
Hg1 0.0005 0.4130 0.0865
Hg2 0.0483 0.6488 0.4995
Hg3 0.0484 0.9995 0.1487
Hg4 0.3990 0.3511 0.8510
Hg5 0.4129 0.4131 0.3267
Hg6 0.4129 0.8264 0.9125
W1 0.5000 0.0000 0.5000
F1 0.0000 0.0000 0.5000
F2 0.2244 0.8448 0.3454
F3 0.3795 0.1548 0.4994
F4 0.3804 0.0004 0.6552
```